[1]
For Li8As2P, a structure optimized by DFT (GGA-PBE) gives the theoretical powder diffractogram in this record (CuKα).
Peak positions follow from Bragg's law for the DFT cell and can differ from measured ones.

Largest 6 diffraction maxima, by angle, 10 to 90 degrees two-theta:
2θ/deg  I (rel.)
25.16  100
25.48  91
28.37  32
29.79  58
41.60  72
49.96  31

Cell and atoms:
```
Li8As2P
1.0
3.783 -6.421 0.000
3.783 6.421 0.000
-2.336 0.000 3.496
Li As P
8 2 1
Direct
0.000 0.000 0.000
0.144 0.821 0.483
0.281 0.664 0.973
0.325 0.325 0.824
0.538 0.746 0.643
0.664 0.281 0.973
0.746 0.538 0.643
0.821 0.144 0.483
0.084 0.406 0.246
0.406 0.084 0.246
0.737 0.737 0.238
```

---

[2]
For Li6AsP, a structure optimized by DFT (GGA-PBE) gives the theoretical powder diffractogram in this record (CuKα).
Peak positions follow from Bragg's law for the DFT cell and can differ from measured ones.

Largest 6 diffraction maxima, by angle, 10 to 90 degrees two-theta:
2θ/deg  I (rel.)
12.69  24
25.52  100
29.55  51
42.29  74
50.04  44
77.33  24

Cell and atoms:
```
Li6AsP
1.0
2.138 1.234 6.975
-2.138 1.234 6.975
0.000 -2.469 6.975
Li As P
6 1 1
Direct
0.123 0.123 0.123
0.249 0.249 0.249
0.373 0.373 0.373
0.627 0.627 0.627
0.751 0.751 0.751
0.877 0.877 0.877
0.500 0.500 0.500
0.000 0.000 0.000
```

---

[3]
For Sr2LiAsP, a structure optimized by DFT (GGA-PBE) gives the theoretical powder diffractogram in this record (CuKα).
Peak positions follow from Bragg's law for the DFT cell and can differ from measured ones.

Largest 6 diffraction maxima, by angle, 10 to 90 degrees two-theta:
2θ/deg  I (rel.)
25.05  32
29.48  100
30.87  72
44.23  26
51.41  37
54.04  38

Cell and atoms:
```
Sr2LiAsP
1.0
5.792 0.000 0.000
0.000 5.792 0.000
0.000 0.000 4.503
Sr Li As P
2 1 1 1
Direct
0.000 0.500 0.000
0.500 0.000 0.000
0.000 0.000 0.500
0.500 0.500 0.500
0.000 0.000 0.000
```

---

[4]
For LiPa4As5, a structure optimized by DFT (GGA-PBE) gives the theoretical powder diffractogram in this record (CuKα).
Peak positions follow from Bragg's law for the DFT cell and can differ from measured ones.

Largest 6 diffraction maxima, by angle, 10 to 90 degrees two-theta:
2θ/deg  I (rel.)
26.68  23
26.88  22
30.97  100
31.12  49
44.48  75
73.65  26

Cell and atoms:
```
LiPa4As5
1.0
-2.031 2.874 10.266
2.031 -2.874 10.266
2.031 2.874 -10.266
Li Pa As
1 4 5
Direct
0.000 0.000 0.000
0.201 0.201 0.000
0.401 0.401 0.000
0.599 0.599 0.000
0.799 0.799 0.000
0.100 0.600 0.500
0.301 0.801 0.500
0.500 0.000 0.500
0.699 0.199 0.500
0.900 0.400 0.500
```

---

[5]
For LiZr2PaAs4, a structure optimized by DFT (GGA-PBE) gives the theoretical powder diffractogram in this record (CuKα).
Peak positions follow from Bragg's law for the DFT cell and can differ from measured ones.

Largest 6 diffraction maxima, by angle, 10 to 90 degrees two-theta:
2θ/deg  I (rel.)
14.05  28
16.03  24
32.04  100
32.39  49
45.37  38
47.04  34

Cell and atoms:
```
LiZr2PaAs4
1.0
6.655 0.000 0.000
0.000 3.932 0.000
-2.230 0.000 6.601
Li Zr Pa As
1 2 1 4
Direct
0.000 0.000 0.000
0.000 0.500 0.500
0.500 0.000 0.500
0.500 0.500 0.000
0.240 0.000 0.742
0.249 0.500 0.255
0.751 0.500 0.745
0.760 0.000 0.258
```

---

[6]
For LiAsPbS4, a structure optimized by DFT (GGA-PBE) gives the theoretical powder diffractogram in this record (CuKα).
Peak positions follow from Bragg's law for the DFT cell and can differ from measured ones.

Largest 6 diffraction maxima, by angle, 10 to 90 degrees two-theta:
2θ/deg  I (rel.)
13.90  53
16.79  49
22.26  45
26.67  100
27.70  52
47.33  51

Cell and atoms:
```
LiAsPbS4
1.0
-3.926 3.993 5.279
3.926 -3.993 5.279
3.926 3.993 -5.279
Li As Pb S
2 2 2 8
Direct
0.000 0.000 0.000
0.500 0.000 0.500
0.385 0.635 0.750
0.615 0.365 0.250
0.000 0.000 0.500
0.000 0.500 0.000
0.255 0.243 0.012
0.269 0.757 0.512
0.273 0.286 0.513
0.273 0.759 0.987
0.727 0.241 0.013
0.727 0.714 0.487
0.731 0.243 0.488
0.745 0.757 0.988
```

---

[7]
For LiTe4AsPb2, a structure optimized by DFT (GGA-PBE) gives the theoretical powder diffractogram in this record (CuKα).
Peak positions follow from Bragg's law for the DFT cell and can differ from measured ones.

Largest 6 diffraction maxima, by angle, 10 to 90 degrees two-theta:
2θ/deg  I (rel.)
28.67  100
28.88  49
41.14  73
50.61  19
51.22  19
67.69  23

Cell and atoms:
```
LiTe4AsPb2
1.0
-4.367 4.441 6.184
4.367 -4.441 6.184
4.367 4.441 -6.184
Li Te As Pb
2 8 2 4
Direct
0.000 0.000 0.000
0.500 0.000 0.500
0.261 0.243 0.481
0.261 0.780 0.019
0.263 0.238 0.024
0.286 0.762 0.524
0.714 0.238 0.476
0.737 0.762 0.976
0.739 0.220 0.981
0.739 0.757 0.519
0.500 0.000 0.000
0.500 0.500 0.500
0.000 0.000 0.500
0.000 0.500 0.000
0.000 0.500 0.500
0.500 0.500 0.000
```

---

[8]
For Li3As2Pd2, a structure optimized by DFT (GGA-PBE) gives the theoretical powder diffractogram in this record (CuKα).
Peak positions follow from Bragg's law for the DFT cell and can differ from measured ones.

Largest 6 diffraction maxima, by angle, 10 to 90 degrees two-theta:
2θ/deg  I (rel.)
13.52  36
24.19  65
27.24  59
40.10  48
41.78  100
50.67  41

Cell and atoms:
```
Li3As2Pd2
1.0
7.499 0.000 0.000
0.000 4.319 0.000
-2.457 0.000 6.548
Li As Pd
6 4 4
Direct
0.000 0.000 0.000
0.135 0.000 0.406
0.365 0.500 0.594
0.500 0.500 0.000
0.635 0.500 0.406
0.865 0.000 0.594
0.087 0.500 0.764
0.413 0.000 0.236
0.587 0.000 0.764
0.913 0.500 0.236
0.229 0.500 0.183
0.271 0.000 0.817
0.729 0.000 0.183
0.771 0.500 0.817
```

---

[9]
For Li5As2Pd, a structure optimized by DFT (GGA-PBE) gives the theoretical powder diffractogram in this record (CuKα).
Peak positions follow from Bragg's law for the DFT cell and can differ from measured ones.

Largest 6 diffraction maxima, by angle, 10 to 90 degrees two-theta:
2θ/deg  I (rel.)
10.59  20
23.33  31
23.94  100
41.01  34
44.81  34
53.04  17

Cell and atoms:
```
Li5As2Pd
1.0
4.402 0.000 0.000
-2.201 3.812 0.000
0.000 0.000 16.702
Li As Pd
10 4 2
Direct
0.000 0.000 0.149
0.000 0.000 0.351
0.000 0.000 0.649
0.000 0.000 0.851
0.333 0.667 0.049
0.333 0.667 0.250
0.333 0.667 0.451
0.667 0.333 0.549
0.667 0.333 0.750
0.667 0.333 0.951
0.333 0.667 0.607
0.333 0.667 0.893
0.667 0.333 0.107
0.667 0.333 0.393
0.333 0.667 0.750
0.667 0.333 0.250
```

---

[10]
For Li4AsPd4, a structure optimized by DFT (GGA-PBE) gives the theoretical powder diffractogram in this record (CuKα).
Peak positions follow from Bragg's law for the DFT cell and can differ from measured ones.

Largest 6 diffraction maxima, by angle, 10 to 90 degrees two-theta:
2θ/deg  I (rel.)
24.45  52
33.57  27
40.88  100
49.24  28
68.22  29
86.46  22

Cell and atoms:
```
Li4AsPd4
1.0
-3.925 3.925 2.055
3.925 -3.925 2.055
3.925 3.925 -2.055
Li As Pd
4 1 4
Direct
0.168 0.168 0.336
0.168 0.832 0.000
0.832 0.168 0.000
0.832 0.832 0.664
0.500 0.500 0.000
0.179 0.500 0.679
0.500 0.179 0.679
0.500 0.821 0.321
0.821 0.500 0.321
```

---

[11]
For Li6AsPd12, a structure optimized by DFT (GGA-PBE) gives the theoretical powder diffractogram in this record (CuKα).
Peak positions follow from Bragg's law for the DFT cell and can differ from measured ones.

Largest 6 diffraction maxima, by angle, 10 to 90 degrees two-theta:
2θ/deg  I (rel.)
27.37  28
30.74  84
41.39  46
41.63  100
43.87  70
44.00  35

Cell and atoms:
```
Li6AsPd12
1.0
4.597 2.654 3.780
-4.597 2.654 3.780
0.000 -5.308 3.780
Li As Pd
6 1 12
Direct
0.220 0.383 0.780
0.220 0.780 0.617
0.383 0.780 0.220
0.617 0.220 0.780
0.780 0.220 0.383
0.780 0.617 0.220
0.500 0.500 0.500
0.039 0.945 0.299
0.055 0.701 0.961
0.142 0.491 0.349
0.299 0.039 0.945
0.349 0.142 0.491
0.491 0.349 0.142
0.509 0.651 0.858
0.651 0.858 0.509
0.701 0.961 0.055
0.858 0.509 0.651
0.945 0.299 0.039
0.961 0.055 0.701
```

---

[12]
For LiPm2As3Pd4, a structure optimized by DFT (GGA-PBE) gives the theoretical powder diffractogram in this record (CuKα).
Peak positions follow from Bragg's law for the DFT cell and can differ from measured ones.

Largest 6 diffraction maxima, by angle, 10 to 90 degrees two-theta:
2θ/deg  I (rel.)
29.56  26
33.45  78
34.39  100
42.29  68
49.04  32
54.96  37

Cell and atoms:
```
LiPm2As3Pd4
1.0
4.274 0.000 0.000
0.000 4.274 0.000
0.000 0.000 10.313
Li Pm As Pd
1 2 3 4
Direct
0.000 0.000 0.000
0.000 0.500 0.740
0.500 0.000 0.260
0.000 0.500 0.359
0.500 0.000 0.641
0.500 0.500 0.000
0.000 0.000 0.500
0.000 0.500 0.124
0.500 0.000 0.876
0.500 0.500 0.500
```

---

[13]
For LiAsPdPt, a structure optimized by DFT (GGA-PBE) gives the theoretical powder diffractogram in this record (CuKα).
Peak positions follow from Bragg's law for the DFT cell and can differ from measured ones.

Largest 6 diffraction maxima, by angle, 10 to 90 degrees two-theta:
2θ/deg  I (rel.)
21.56  20
25.04  28
31.17  32
40.39  100
43.94  20
45.36  18

Cell and atoms:
```
LiAsPdPt
1.0
3.556 0.000 0.000
0.000 3.999 0.000
0.000 0.000 4.121
Li As Pd Pt
1 1 1 1
Direct
0.000 0.000 0.000
0.000 0.500 0.500
0.500 0.500 0.000
0.500 0.000 0.500
```

---

[14]
For LiPmAs, a structure optimized by DFT (GGA-PBE) gives the theoretical powder diffractogram in this record (CuKα).
Peak positions follow from Bragg's law for the DFT cell and can differ from measured ones.

Largest 6 diffraction maxima, by angle, 10 to 90 degrees two-theta:
2θ/deg  I (rel.)
12.31  37
30.22  100
32.84  78
39.45  39
43.27  41
55.37  35

Cell and atoms:
```
LiPmAs
1.0
4.182 0.000 0.000
0.000 4.182 0.000
0.000 0.000 7.193
Li Pm As
2 2 2
Direct
0.250 0.750 0.000
0.750 0.250 0.000
0.250 0.250 0.343
0.750 0.750 0.657
0.250 0.250 0.768
0.750 0.750 0.232
```